# 1
Calculated powder X-ray diffraction pattern
Compound: AgMoP6
Radiation: Cu Kα (λ = 1.5418 Å)
Structure: the PBE geometry in OQMD
Lines closer than 0.1° are merged.

Largest 12 diffraction maxima, in order of rising 2θ, 2θ from 10° to 90°:
2theta  intensity  hkl
18.04  89.4  1 1 1
20.86  30.6  2 0 0
29.66  88.0  2 2 0
34.94  100.0  3 1 1
36.54  22.4  2 2 2
42.45  71.6  4 0 0
46.47  76.9  3 3 1
56.10  32.6  3 3 3
61.59  36.4  4 4 0
69.84  26.0  6 2 0
85.26  22.1  6 4 2
88.08  29.5  7 3 1

Atomic structure:
```
data_AgMoP6
_space_group_name_H-M_alt 'F -4 3 m'
_space_group_IT_number 216
_space_group_name_Hall 'F -4 2 3'
_cell_length_a 8.518
_cell_length_b 8.518
_cell_length_c 8.518
_cell_angle_alpha 90.00
_cell_angle_beta 90.00
_cell_angle_gamma 90.00
loop_
_atom_site_label
_atom_site_type_symbol
_atom_site_fract_x
_atom_site_fract_y
_atom_site_fract_z
Ag1 Ag 0.000 0.000 0.000
Mo1 Mo 0.250 0.250 0.250
P1 P 0.000 0.000 0.296
```

---

# 2
Calculated powder X-ray diffraction pattern
Compound: PmAgMo
Radiation: Cu Kα (λ = 1.5418 Å)
Structure: the PBE geometry in OQMD
Lines closer than 0.1° are merged.

Largest 12 diffraction maxima, in order of rising 2θ, 2θ from 10° to 90°:
2theta  intensity  hkl
22.93  21.1  1 1 1
26.54  26.1  2 0 0
37.88  100.0  2 2 0
44.75  10.4  3 1 1
46.85  7.4  2 2 2
54.65  16.8  4 0 0
60.03  4.3  3 3 1
61.76  9.6  4 2 0
68.42  33.8  4 2 2
80.97  10.7  4 4 0
85.53  3.3  5 3 1
87.04  4.6  6 0 0

Atomic structure:
```
data_PmAgMo
_space_group_name_H-M_alt 'F -4 3 m'
_space_group_IT_number 216
_space_group_name_Hall 'F -4 2 3'
_cell_length_a 6.717
_cell_length_b 6.717
_cell_length_c 6.717
_cell_angle_alpha 90.00
_cell_angle_beta 90.00
_cell_angle_gamma 90.00
loop_
_atom_site_label
_atom_site_type_symbol
_atom_site_fract_x
_atom_site_fract_y
_atom_site_fract_z
Pm1 Pm 0.000 0.000 0.000
Ag1 Ag 0.000 0.000 0.500
Mo1 Mo 0.250 0.250 0.750
```

---

# 3
Calculated powder X-ray diffraction pattern
Compound: RbAg3MoSe4
Radiation: Cu Kα (λ = 1.5418 Å)
Structure: the PBE geometry in OQMD
Lines closer than 0.1° are merged.

Largest 12 diffraction maxima, in order of rising 2θ, 2θ from 10° to 90°:
2theta  intensity  hkl
13.65  39.1  1 0 0
23.76  79.0  1 1 1
27.50  11.1  2 0 0
33.85  8.7  2 1 1
39.28  100.0  2 2 0
41.77  9.3  2 2 1
46.42  34.0  3 1 1
50.74  12.5  3 2 0
56.76  14.4  4 0 0
62.39  10.7  3 3 1
71.21  26.4  4 2 2
89.34  8.6  5 3 1

Atomic structure:
```
data_RbAg3MoSe4
_space_group_name_H-M_alt 'P -4 3 m'
_space_group_IT_number 215
_space_group_name_Hall 'P -4 2 3'
_cell_length_a 6.487
_cell_length_b 6.487
_cell_length_c 6.487
_cell_angle_alpha 90.00
_cell_angle_beta 90.00
_cell_angle_gamma 90.00
loop_
_atom_site_label
_atom_site_type_symbol
_atom_site_fract_x
_atom_site_fract_y
_atom_site_fract_z
Rb1 Rb 0.000 0.000 0.000
Ag1 Ag 0.000 0.500 0.500
Mo1 Mo 0.500 0.500 0.500
Se1 Se 0.282 0.282 0.282
```

---

# 4
Calculated powder X-ray diffraction pattern
Compound: TlAg3MoS4
Radiation: Cu Kα (λ = 1.5418 Å)
Structure: the PBE geometry in OQMD
Lines closer than 0.1° are merged.

Largest 12 diffraction maxima, in order of rising 2θ, 2θ from 10° to 90°:
2theta  intensity  hkl
20.15  40.7  1 1 0
24.75  96.3  1 1 1
28.65  62.6  2 0 0
35.28  19.2  2 1 1
40.97  100.0  2 2 0
48.45  45.6  3 1 1
50.76  18.6  2 2 2
59.32  15.2  4 0 0
65.27  17.0  3 3 1
67.19  25.3  4 2 0
74.62  29.6  4 2 2
80.01  13.2  3 3 3

Atomic structure:
```
data_TlAg3MoS4
_space_group_name_H-M_alt 'P -4 3 m'
_space_group_IT_number 215
_space_group_name_Hall 'P -4 2 3'
_cell_length_a 6.231
_cell_length_b 6.231
_cell_length_c 6.231
_cell_angle_alpha 90.00
_cell_angle_beta 90.00
_cell_angle_gamma 90.00
loop_
_atom_site_label
_atom_site_type_symbol
_atom_site_fract_x
_atom_site_fract_y
_atom_site_fract_z
Tl1 Tl 0.000 0.000 0.000
Ag1 Ag 0.000 0.500 0.500
Mo1 Mo 0.500 0.500 0.500
S1 S 0.283 0.283 0.283
```

---

# 5
Calculated powder X-ray diffraction pattern
Compound: NaAgNO
Radiation: Cu Kα (λ = 1.5418 Å)
Structure: the PBE geometry in OQMD
Lines closer than 0.1° are merged.

Largest 12 diffraction maxima, in order of rising 2θ, 2θ from 10° to 90°:
2theta  intensity  hkl
20.39  66.5  0 0 1
27.07  58.5  1 0 0
34.13  100.0  1 0 1
38.65  85.7  1 1 0
41.47  34.6  0 0 2
44.09  35.1  1 1 1
50.23  20.4  1 0 2
55.82  26.3  2 0 0
57.98  46.3  1 1 2
60.06  13.4  2 0 1
67.07  28.6  2 1 1
71.87  22.8  2 0 2

Atomic structure:
```
data_NaAgNO
_space_group_name_H-M_alt 'P 4/m m m'
_space_group_IT_number 123
_space_group_name_Hall '-P 4 2'
_cell_length_a 3.294
_cell_length_b 3.294
_cell_length_c 4.355
_cell_angle_alpha 90.00
_cell_angle_beta 90.00
_cell_angle_gamma 90.00
loop_
_atom_site_label
_atom_site_type_symbol
_atom_site_fract_x
_atom_site_fract_y
_atom_site_fract_z
Na1 Na 0.000 0.000 0.000
Ag1 Ag 0.500 0.500 0.500
N1 N 0.500 0.500 0.000
O1 O 0.000 0.000 0.500
```

---

# 6
Calculated powder X-ray diffraction pattern
Compound: NaAg3PNO3
Radiation: Cu Kα (λ = 1.5418 Å)
Structure: the PBE geometry in OQMD
Lines closer than 0.1° are merged.

Largest 12 diffraction maxima, in order of rising 2θ, 2θ from 10° to 90°:
2theta  intensity  hkl
14.75  20.4  0 0 1
20.89  47.8  0 1 1
29.68  100.0  0 2 0
29.79  25.2  2 1 -1
33.30  46.4  0 1 2
33.41  17.5  2 1 -2
39.65  64.2  2 0 1
39.82  28.2  3 0 -2
42.61  19.6  3 1 -1
50.29  37.6  2 2 1
50.42  21.9  3 2 -2
52.68  15.2  2 3 -1

Atomic structure:
```
data_NaAg3PNO3
_space_group_name_H-M_alt 'P 1 21 1'
_space_group_IT_number 4
_cell_length_a 6.919
_cell_length_b 6.023
_cell_length_c 6.933
_cell_angle_alpha 90.00
_cell_angle_beta 119.73
_cell_angle_gamma 90.00
loop_
_space_group_symop_operation_xyz
'x,y,z'
'-x,y+1/2,-z'
loop_
_atom_site_label
_atom_site_type_symbol
_atom_site_fract_x
_atom_site_fract_y
_atom_site_fract_z
Na1 Na 0.005 0.000 0.000
Ag1 Ag 0.129 0.763 0.711
Ag2 Ag 0.289 0.765 0.418
Ag3 Ag 0.418 0.268 0.130
P1 P 0.332 0.287 0.667
N1 N 0.332 0.024 0.666
O1 O 0.183 0.385 0.767
O2 O 0.234 0.386 0.421
O3 O 0.421 0.886 0.185
```

---

# 7
Calculated powder X-ray diffraction pattern
Compound: NbAgNO
Radiation: Cu Kα (λ = 1.5418 Å)
Structure: the PBE geometry in OQMD
Lines closer than 0.1° are merged.

Largest 12 diffraction maxima, in order of rising 2θ, 2θ from 10° to 90°:
2theta  intensity  hkl
29.57  70.9  1 2 0
31.89  70.7  0 0 2
33.21  100.0  2 0 1
33.70  69.2  1 2 1
44.05  41.8  1 2 2
51.79  12.2  3 2 0
52.81  11.0  0 4 0
54.49  21.5  3 2 1
57.67  21.8  2 0 3
57.99  21.4  1 2 3
62.12  12.0  3 2 2
63.82  16.5  2 4 1

Atomic structure:
```
data_NbAgNO
_space_group_name_H-M_alt 'P c a 21'
_space_group_IT_number 29
_cell_length_a 6.154
_cell_length_b 6.934
_cell_length_c 5.612
_cell_angle_alpha 90.00
_cell_angle_beta 90.00
_cell_angle_gamma 90.00
loop_
_space_group_symop_operation_xyz
'x,y,z'
'-x,-y,z+1/2'
'-x+1/2,y,z+1/2'
'x+1/2,-y,z'
loop_
_atom_site_label
_atom_site_type_symbol
_atom_site_fract_x
_atom_site_fract_y
_atom_site_fract_z
Nb1 Nb 0.100 0.107 0.000
Ag1 Ag 0.147 0.660 0.013
N1 N 0.093 0.100 0.643
O1 O 0.025 0.357 0.097
```

---

# 8
Calculated powder X-ray diffraction pattern
Compound: Ag4SN2O2
Radiation: Cu Kα (λ = 1.5418 Å)
Structure: the PBE geometry in OQMD
Lines closer than 0.1° are merged.

Largest 12 diffraction maxima, in order of rising 2θ, 2θ from 10° to 90°:
2theta  intensity  hkl
18.13  30.8  0 1 1
20.06  41.3  1 1 1
24.99  19.5  2 1 1
30.46  57.8  2 1 2
31.64  40.7  3 1 1
33.42  37.8  1 2 1
34.81  100.0  1 1 3
35.97  42.0  4 0 1
36.19  39.1  3 1 2
36.72  34.5  0 2 2
40.09  25.0  4 0 2
40.77  21.7  2 2 2

Atomic structure:
```
data_Ag4SN2O2
_space_group_name_H-M_alt 'P n a 21'
_space_group_IT_number 33
_cell_length_a 10.399
_cell_length_b 5.837
_cell_length_c 8.967
_cell_angle_alpha 90.00
_cell_angle_beta 90.00
_cell_angle_gamma 90.00
loop_
_space_group_symop_operation_xyz
'x,y,z'
'-x,-y,z+1/2'
'-x+1/2,y+1/2,z+1/2'
'x+1/2,-y+1/2,z'
loop_
_atom_site_label
_atom_site_type_symbol
_atom_site_fract_x
_atom_site_fract_y
_atom_site_fract_z
Ag1 Ag 0.053 0.204 0.208
Ag2 Ag 0.101 0.594 0.000
Ag3 Ag 0.140 0.928 0.472
Ag4 Ag 0.191 0.520 0.650
S1 S 0.142 0.097 0.869
N1 N 0.037 0.911 0.913
N2 N 0.182 0.247 0.018
O1 O 0.077 0.260 0.760
O2 O 0.240 0.498 0.306
```

---

# 9
Calculated powder X-ray diffraction pattern
Compound: Ag5Pb2N6
Radiation: Cu Kα (λ = 1.5418 Å)
Structure: the PBE geometry in OQMD
Lines closer than 0.1° are merged.

Largest 12 diffraction maxima, in order of rising 2θ, 2θ from 10° to 90°:
2theta  intensity  hkl
27.72  18.1  0 0 2
30.15  50.1  1 1 0
32.85  100.0  1 0 2
33.28  95.3  1 1 1
34.96  20.7  2 0 0
37.73  65.4  2 0 1
52.67  23.3  2 -1 3
55.29  45.3  2 1 2
55.57  24.3  3 0 1
55.85  27.0  2 0 3
62.70  23.6  2 2 0
72.61  19.1  4 -1 2

Atomic structure:
```
data_Ag5Pb2N6
_space_group_name_H-M_alt 'P -3 1 m'
_space_group_IT_number 162
_space_group_name_Hall '-P 3 2'
_cell_length_a 5.9275
_cell_length_b 5.9275
_cell_length_c 6.4358
_cell_angle_alpha 90.00
_cell_angle_beta 90.00
_cell_angle_gamma 120.00
loop_
_atom_site_label
_atom_site_type_symbol
_atom_site_fract_x
_atom_site_fract_y
_atom_site_fract_z
Ag1 Ag 0.0000 0.0000 0.2385
Ag2 Ag 0.0000 0.5000 0.5000
Pb1 Pb 0.3333 0.6667 0.0000
N1 N 0.0000 0.3581 0.7952
```

---

# 10
Calculated powder X-ray diffraction pattern
Compound: Sc3AgN
Radiation: Cu Kα (λ = 1.5418 Å)
Structure: the PBE geometry in OQMD
Lines closer than 0.1° are merged.

Largest 12 diffraction maxima, in order of rising 2θ, 2θ from 10° to 90°:
2theta  intensity  hkl
20.21  14.4  1 1 -1
28.46  20.9  1 -1 1
28.73  16.2  2 0 -1
33.76  8.1  1 2 -1
35.16  100.0  2 0 0
40.31  23.2  0 0 2
41.02  18.2  2 -2 0
41.12  17.8  2 2 -2
50.71  10.5  1 3 -3
58.94  16.1  2 2 0
59.49  8.6  4 0 -2
71.06  7.3  4 2 -2

Atomic structure:
```
data_Sc3AgN
_space_group_name_H-M_alt 'P -1'
_space_group_IT_number 2
_cell_length_a 6.212
_cell_length_b 6.218
_cell_length_c 6.265
_cell_angle_alpha 119.72
_cell_angle_beta 119.53
_cell_angle_gamma 90.13
loop_
_space_group_symop_operation_xyz
'x,y,z'
'-x,-y,-z'
loop_
_atom_site_label
_atom_site_type_symbol
_atom_site_fract_x
_atom_site_fract_y
_atom_site_fract_z
Sc1 Sc 0.212 0.212 0.013
Sc2 Sc 0.255 0.768 0.500
Sc3 Sc 0.283 0.695 0.978
Ag1 Ag 0.251 0.247 0.500
N1 N 0.000 0.500 0.000
N2 N 0.500 0.000 0.000
```

---

# 11
Calculated powder X-ray diffraction pattern
Compound: Tm2Ag2N
Radiation: Cu Kα (λ = 1.5418 Å)
Structure: the PBE geometry in OQMD
Lines closer than 0.1° are merged.

Largest 12 diffraction maxima, in order of rising 2θ, 2θ from 10° to 90°:
2theta  intensity  hkl
29.14  61.9  1 0 2
31.38  100.0  1 0 3
34.28  35.1  1 0 4
37.73  33.1  1 0 5
41.59  62.7  0 0 8
48.13  51.6  1 1 0
57.26  9.8  2 0 2
58.59  16.3  2 0 3
65.44  46.1  1 1 8
65.58  13.9  1 0 11
79.13  13.5  2 1 3
85.30  17.2  2 0 11

Atomic structure:
```
data_Tm2Ag2N
_space_group_name_H-M_alt 'P 63/m m c'
_space_group_IT_number 194
_space_group_name_Hall '-P 6c 2c'
_cell_length_a 3.7811
_cell_length_b 3.7811
_cell_length_c 17.3884
_cell_angle_alpha 90.00
_cell_angle_beta 90.00
_cell_angle_gamma 120.00
loop_
_atom_site_label
_atom_site_type_symbol
_atom_site_fract_x
_atom_site_fract_y
_atom_site_fract_z
Tm1 Tm 0.0000 0.0000 0.0000
Tm2 Tm 0.3333 0.6667 0.2500
Ag1 Ag 0.3333 0.6667 0.6140
N1 N 0.0000 0.0000 0.2500
```

---

Repeat the eleventh record exactly.
Calculated powder X-ray diffraction pattern
Compound: Tm2Ag2N
Radiation: Cu Kα (λ = 1.5418 Å)
Structure: the PBE geometry in OQMD
Lines closer than 0.1° are merged.

Largest 12 diffraction maxima, in order of rising 2θ, 2θ from 10° to 90°:
2theta  intensity  hkl
29.14  61.9  1 0 2
31.38  100.0  1 0 3
34.28  35.1  1 0 4
37.73  33.1  1 0 5
41.59  62.7  0 0 8
48.13  51.6  1 1 0
57.26  9.8  2 0 2
58.59  16.3  2 0 3
65.44  46.1  1 1 8
65.58  13.9  1 0 11
79.13  13.5  2 1 3
85.30  17.2  2 0 11

Atomic structure:
```
data_Tm2Ag2N
_space_group_name_H-M_alt 'P 63/m m c'
_space_group_IT_number 194
_space_group_name_Hall '-P 6c 2c'
_cell_length_a 3.7811
_cell_length_b 3.7811
_cell_length_c 17.3884
_cell_angle_alpha 90.00
_cell_angle_beta 90.00
_cell_angle_gamma 120.00
loop_
_atom_site_label
_atom_site_type_symbol
_atom_site_fract_x
_atom_site_fract_y
_atom_site_fract_z
Tm1 Tm 0.0000 0.0000 0.0000
Tm2 Tm 0.3333 0.6667 0.2500
Ag1 Ag 0.3333 0.6667 0.6140
N1 N 0.0000 0.0000 0.2500
```